Li4Ni7O14: simulated PXRD pattern (Cu Kα (λ = 1.5418 Å)), based on a DFT-relaxed cell (GGA+U, Alexandria).

Principal peaks in the range 2θ from 10° to 90°, by angle:
- 18.32 deg, intensity 100, (0 1 -1)
- 36.25 deg, intensity 13, (-1 1 2)
- 37.10 deg, intensity 16, (2 0 1)
- 43.53 deg, intensity 19, (1 0 -3)
- 44.66 deg, intensity 17, (2 -1 2)
- 44.99 deg, intensity 17, (1 3 1)

Cell and atoms:
```
Li4Ni7O14
1.0
4.9282 0.0000 0.0000
0.7157 6.4232 0.0000
1.3891 0.1374 7.5297
Li Ni O
4 7 14
direct
0.0740 0.3573 0.3598
0.2231 0.0752 0.0749
0.7769 0.9248 0.9251
0.9260 0.6427 0.6402
0.0000 0.5000 0.0000
0.1388 0.2117 0.7201
0.2877 0.9238 0.4314
0.4308 0.6383 0.1439
0.5692 0.3617 0.8561
0.7123 0.0762 0.5686
0.8612 0.7883 0.2799
0.0133 0.9566 0.6748
0.0881 0.7651 0.0545
0.1632 0.6685 0.3789
0.2243 0.4765 0.7727
0.3070 0.3860 0.0968
0.3722 0.1883 0.4945
0.4507 0.1063 0.8207
0.5493 0.8937 0.1793
0.6278 0.8117 0.5055
0.6930 0.6140 0.9032
0.7757 0.5235 0.2273
0.8368 0.3315 0.6211
0.9119 0.2349 0.9455
0.9867 0.0434 0.3252
```